For Na2V2ZnO7, a DFT-relaxed cell (PBE+U, Alexandria) gives the simulated X-ray powder pattern in this record (CuKα).

Structure:
Lattice parameters (Å, degrees): 8.407 8.407 5.195 90.00 90.00 90.00
Space group P-42_1m (No. 113)
One atom of each set of equivalent atoms:
Na 0.166 0.334 0.492
V 0.145 0.645 0.925
Zn 0.000 0.000 0.000
O 0.000 0.500 0.799
O 0.096 0.829 0.796
O 0.147 0.647 0.247

Peak list (10 most intense, 2θ from 10° to 90°, most intense first)
d 3.046, intensity 100
d 5.195, intensity 77
d 3.760, intensity 47
d 1.858, intensity 44
d 2.659, intensity 43
d 3.912, intensity 35
d 2.367, intensity 32
d 3.268, intensity 29
d 1.496, intensity 26
d 1.880, intensity 18